Structure and calculated X-ray diffraction stick pattern of Mg3BO3F3 (a PBE-relaxed structure; λ = 1.5418 Å (Cu Kα)).
Peak positions follow from Bragg's law for the DFT cell and can differ from measured ones.

Most intense lines, 10° ≤ 2θ ≤ 90°, low angle first:
Position (°2θ)	Rel. int.
11.48	51
19.95	70
34.94	64
36.93	100
42.30	74
50.26	45
51.72	31
62.66	56

Crystal structure
Lattice parameters (Å, degrees): 8.8995 8.8995 3.1397 90.00 90.00 120.00
Element x y z (fractional)
Mg  0.0305  0.6632  0.2500
Mg  0.3368  0.3674  0.2500
Mg  0.3674  0.0305  0.7500
Mg  0.6327  0.9695  0.2500
Mg  0.6632  0.6327  0.7500
Mg  0.9695  0.3368  0.7500
B  0.3333  0.6667  0.7500
B  0.6667  0.3333  0.2500
O  0.1550  0.6042  0.7500
O  0.3958  0.5507  0.7500
O  0.4493  0.8450  0.7500
O  0.5507  0.1550  0.2500
O  0.6042  0.4493  0.2500
O  0.8450  0.3958  0.2500
F  0.0890  0.2998  0.2500
F  0.2108  0.9110  0.2500
F  0.2998  0.2108  0.7500
F  0.7002  0.7892  0.2500
F  0.7892  0.0890  0.7500
F  0.9110  0.7002  0.7500